Record 1
Calculated powder diffraction line list of NdPu4Ir4 for Cu Ka, from a DFT-relaxed cell (PBE, Alexandria).
Kinematic intensities with the Lorentz-polarization factor, no thermal factor.

Main lines, by angle (10 to 90 degrees two-theta):
6.384 Å, 2θ 13.9, I 23.8; 2.855 Å, 2θ 31.3, I 100.0; 2.775 Å, 2θ 32.3, I 48.5; 2.019 Å, 2θ 44.9, I 37.5; 1.990 Å, 2θ 45.6, I 72.5; 1.632 Å, 2θ 56.4, I 38.8; 1.277 Å, 2θ 74.3, I 16.3; 1.269 Å, 2θ 74.8, I 16.4; 1.248 Å, 2θ 76.3, I 16.3; 1.160 Å, 2θ 83.3, I 24.6

Atomic structure:
Lattice parameters (Å, degrees): 9.0278 9.0278 5.5495 90.00 90.00 90.00
Positions (direct):
Nd  0.2500  0.2500  0.2500
Nd  0.7500  0.7500  0.7500
Pu  0.0637  0.6462  0.2482
Pu  0.1462  0.9363  0.7482
Pu  0.3538  0.5637  0.7482
Pu  0.4363  0.8538  0.2482
Pu  0.5637  0.1462  0.7518
Pu  0.6462  0.4363  0.2518
Pu  0.8538  0.0637  0.2518
Pu  0.9363  0.3538  0.7518
Ir  0.0561  0.6335  0.7481
Ir  0.1335  0.9439  0.2481
Ir  0.3665  0.5561  0.2481
Ir  0.4439  0.8665  0.7481
Ir  0.5561  0.1335  0.2519
Ir  0.6335  0.4439  0.7519
Ir  0.8665  0.0561  0.7519
Ir  0.9439  0.3665  0.2519



Record 2
Calculated powder diffraction line list of Nd3Ir2Rh7 for Cu Ka, from a DFT-relaxed cell (PBE, Alexandria).
Kinematic intensities with the Lorentz-polarization factor, no thermal factor.

Main lines, by angle (10 to 90 degrees two-theta):
2.672 Å, 2θ 33.5, I 39.9; 2.305 Å, 2θ 39.1, I 20.9; 2.289 Å, 2θ 39.4, I 100.0; 2.218 Å, 2θ 40.7, I 19.2; 2.144 Å, 2θ 42.1, I 16.4; 2.122 Å, 2θ 42.6, I 25.3; 1.983 Å, 2θ 45.8, I 13.6; 1.457 Å, 2θ 63.9, I 24.0; 1.336 Å, 2θ 70.5, I 22.1; 1.145 Å, 2θ 84.7, I 20.0

Atomic structure:
Lattice parameters (Å, degrees): 9.3934 9.3934 9.3934 33.05 33.05 33.05
Positions (direct):
Nd  0.0000  0.0000  0.0000
Nd  0.1388  0.1388  0.1388
Nd  0.8612  0.8612  0.8612
Ir  0.3326  0.3326  0.3326
Ir  0.6674  0.6674  0.6674
Rh  0.0826  0.5802  0.5802
Rh  0.4198  0.4198  0.9174
Rh  0.4198  0.9174  0.4198
Rh  0.5000  0.5000  0.5000
Rh  0.5802  0.0826  0.5802
Rh  0.5802  0.5802  0.0826
Rh  0.9174  0.4198  0.4198



Record 3
Calculated powder diffraction line list of NdZrIrRu for Cu Ka, from a DFT-relaxed cell (PBE, Alexandria).
Kinematic intensities with the Lorentz-polarization factor, no thermal factor.

Main lines, by angle (10 to 90 degrees two-theta):
3.934 Å, 2θ 22.6, I 8.1; 3.407 Å, 2θ 26.2, I 1.3; 2.409 Å, 2θ 37.3, I 100.0; 2.054 Å, 2θ 44.1, I 4.6; 1.703 Å, 2θ 53.8, I 17.4; 1.563 Å, 2θ 59.1, I 2.0; 1.391 Å, 2θ 67.3, I 35.2; 1.311 Å, 2θ 72.0, I 1.6; 1.204 Å, 2θ 79.6, I 11.0; 1.152 Å, 2θ 84.0, I 1.6

Atomic structure:
Lattice parameters (Å, degrees): 4.8179 4.8179 4.8179 60.00 60.00 60.00
Positions (direct):
Nd  0.0000  0.0000  0.0000
Zr  0.5000  0.5000  0.5000
Ir  0.2500  0.2500  0.2500
Ru  0.7500  0.7500  0.7500